Starting from a GGA-PBE-relaxed structure, the powder diffractogram of Li7Tl2Ag2 was computed for a wavelength of 1.5418 Å.
No peak broadening, texture or thermal motion is included.

The 8 most intense peaks (2θ from 10° to 90°), low angle first:
Position (°2θ)  d/Å  Rel. int.
20.3  4.370  30
23.1  3.856  100
26.8  3.324  48
28.7  3.109  29
29.1  3.071  30
41.3  2.185  30
46.2  1.964  20
46.7  1.945  22

Crystal structure
```
data_Li7Tl2Ag2
_chemical_formula_sum 'Li7 Tl2 Ag2'
_cell_length_a 6.295
_cell_length_b 6.295
_cell_length_c 6.218
_cell_angle_alpha 90.00
_cell_angle_beta 90.00
_cell_angle_gamma 102.67
_space_group_name_H-M_alt 'P 1'
_space_group_IT_number 1
_space_group_name_Hall 'P 1'
loop_
_atom_site_label
_atom_site_fract_x
_atom_site_fract_y
_atom_site_fract_z
Li1 0.000 0.000 0.000
Li2 0.000 0.500 0.271
Li3 0.000 0.500 0.729
Li4 0.500 0.000 0.271
Li5 0.500 0.000 0.729
Li6 0.500 0.500 0.262
Li7 0.500 0.500 0.738
Tl1 0.183 0.183 0.500
Tl2 0.817 0.817 0.500
Ag1 0.281 0.719 0.000
Ag2 0.719 0.281 0.000
```

---

Starting from a GGA-PBE-relaxed structure, the powder diffractogram of Tb4C2I was computed for a wavelength of 1.5418 Å.
No peak broadening, texture or thermal motion is included.

The 8 most intense peaks (2θ from 10° to 90°), low angle first:
Position (°2θ)  d/Å  Rel. int.
27.9  3.196  28
29.9  2.990  25
31.7  2.819  100
32.4  2.764  27
32.9  2.726  71
39.9  2.261  25
49.2  1.850  44
60.2  1.538  29

Crystal structure
```
data_Tb4C2I
_chemical_formula_sum 'Tb4 C2 I1'
_cell_length_a 13.986
_cell_length_b 13.986
_cell_length_c 13.986
_cell_angle_alpha 15.21
_cell_angle_beta 15.21
_cell_angle_gamma 15.21
_space_group_name_H-M_alt 'P 1'
_space_group_IT_number 1
_space_group_name_Hall 'P 1'
loop_
_atom_site_label
_atom_site_fract_x
_atom_site_fract_y
_atom_site_fract_z
Tb1 0.124 0.124 0.124
Tb2 0.273 0.273 0.273
Tb3 0.727 0.727 0.727
Tb4 0.876 0.876 0.876
C1 0.424 0.424 0.424
C2 0.576 0.576 0.576
I1 0.000 0.000 0.000
```

---

Starting from a GGA-PBE-relaxed structure, the powder diffractogram of KMgGeTe4 was computed for a wavelength of 1.5418 Å.
No peak broadening, texture or thermal motion is included.

The 8 most intense peaks (2θ from 10° to 90°), low angle first:
Position (°2θ)  d/Å  Rel. int.
18.4  4.811  54
24.3  3.667  75
25.7  3.466  57
27.9  3.193  100
28.2  3.164  35
30.4  2.939  46
40.2  2.241  53
43.3  2.089  44

Crystal structure
```
data_KMgGeTe4
_chemical_formula_sum 'K2 Mg2 Ge2 Te8'
_cell_length_a 7.262
_cell_length_b 7.182
_cell_length_c 10.647
_cell_angle_alpha 90.00
_cell_angle_beta 106.13
_cell_angle_gamma 90.00
_space_group_name_H-M_alt 'P 1'
_space_group_IT_number 1
_space_group_name_Hall 'P 1'
loop_
_atom_site_label
_atom_site_fract_x
_atom_site_fract_y
_atom_site_fract_z
K1 0.201 0.250 0.043
K2 0.799 0.750 0.957
Mg1 0.284 0.250 0.678
Mg2 0.716 0.750 0.322
Ge1 0.226 0.750 0.307
Ge2 0.774 0.250 0.693
Te1 0.021 0.521 0.719
Te2 0.021 0.979 0.719
Te3 0.377 0.750 0.112
Te4 0.478 0.250 0.481
Te5 0.522 0.750 0.519
Te6 0.623 0.250 0.888
Te7 0.979 0.021 0.281
Te8 0.979 0.479 0.281
```

---

Starting from a GGA-PBE-relaxed structure, the powder diffractogram of K2LiNp2S6 was computed for a wavelength of 1.5418 Å.
No peak broadening, texture or thermal motion is included.

The 8 most intense peaks (2θ from 10° to 90°), low angle first:
Position (°2θ)  d/Å  Rel. int.
11.9  7.447  100
14.8  5.988  22
17.1  5.190  35
26.1  3.409  20
27.2  3.279  26
30.3  2.945  57
31.1  2.878  33
41.9  2.158  19

Crystal structure
```
data_K2LiNp2S6
_chemical_formula_sum 'K2 Li1 Np2 S6'
_cell_length_a 6.888
_cell_length_b 6.888
_cell_length_c 7.741
_cell_angle_alpha 97.75
_cell_angle_beta 97.75
_cell_angle_gamma 120.77
_space_group_name_H-M_alt 'P 1'
_space_group_IT_number 1
_space_group_name_Hall 'P 1'
loop_
_atom_site_label
_atom_site_fract_x
_atom_site_fract_y
_atom_site_fract_z
K1 0.159 0.841 0.000
K2 0.841 0.159 0.000
Li1 0.000 0.000 0.500
Np1 0.335 0.665 0.500
Np2 0.665 0.335 0.500
S1 0.056 0.412 0.692
S2 0.285 0.285 0.311
S3 0.412 0.056 0.692
S4 0.588 0.944 0.308
S5 0.715 0.715 0.689
S6 0.944 0.588 0.308
```

---

Starting from a GGA-PBE-relaxed structure, the powder diffractogram of Cs3CuSe2 was computed for a wavelength of 1.5418 Å.
No peak broadening, texture or thermal motion is included.

The 8 most intense peaks (2θ from 10° to 90°), low angle first:
Position (°2θ)  d/Å  Rel. int.
22.2  4.013  61
22.2  3.998  46
25.2  3.541  100
26.0  3.425  56
27.2  3.279  63
27.5  3.246  66
27.7  3.220  39
31.3  2.862  66

Crystal structure
```
data_Cs3CuSe2
_chemical_formula_sum 'Cs12 Cu4 Se8'
_cell_length_a 8.559
_cell_length_b 11.847
_cell_length_c 11.451
_cell_angle_alpha 90.00
_cell_angle_beta 110.38
_cell_angle_gamma 90.00
_space_group_name_H-M_alt 'P 1'
_space_group_IT_number 1
_space_group_name_Hall 'P 1'
loop_
_atom_site_label
_atom_site_fract_x
_atom_site_fract_y
_atom_site_fract_z
Cs1 0.215 0.024 0.386
Cs2 0.215 0.476 0.886
Cs3 0.248 0.061 0.980
Cs4 0.248 0.439 0.480
Cs5 0.272 0.717 0.186
Cs6 0.272 0.783 0.686
Cs7 0.728 0.217 0.314
Cs8 0.728 0.283 0.814
Cs9 0.752 0.561 0.520
Cs10 0.752 0.939 0.020
Cs11 0.785 0.524 0.114
Cs12 0.785 0.976 0.614
Cu1 0.217 0.174 0.675
Cu2 0.217 0.326 0.175
Cu3 0.783 0.674 0.825
Cu4 0.783 0.826 0.325
Se1 0.012 0.715 0.373
Se2 0.012 0.785 0.873
Se3 0.442 0.058 0.727
Se4 0.442 0.442 0.227
Se5 0.558 0.558 0.773
Se6 0.558 0.942 0.273
Se7 0.988 0.215 0.127
Se8 0.988 0.285 0.627
```

---

Starting from a GGA-PBE-relaxed structure, the powder diffractogram of PrSnAu4 was computed for a wavelength of 1.5418 Å.
No peak broadening, texture or thermal motion is included.

The 8 most intense peaks (2θ from 10° to 90°), low angle first:
Position (°2θ)  d/Å  Rel. int.
18.9  4.684  26
29.5  3.029  22
34.3  2.614  53
35.5  2.530  100
36.5  2.461  32
38.6  2.331  31
41.3  2.185  24
43.5  2.082  24

Crystal structure
```
data_PrSnAu4
_chemical_formula_sum 'Pr2 Sn2 Au8'
_cell_length_a 6.595
_cell_length_b 6.595
_cell_length_c 6.834
_cell_angle_alpha 102.77
_cell_angle_beta 102.77
_cell_angle_gamma 74.02
_space_group_name_H-M_alt 'P 1'
_space_group_IT_number 1
_space_group_name_Hall 'P 1'
loop_
_atom_site_label
_atom_site_fract_x
_atom_site_fract_y
_atom_site_fract_z
Pr1 0.158 0.158 0.257
Pr2 0.842 0.842 0.743
Sn1 0.398 0.398 0.694
Sn2 0.602 0.602 0.306
Au1 0.149 0.149 0.774
Au2 0.196 0.563 0.067
Au3 0.238 0.762 0.500
Au4 0.437 0.804 0.933
Au5 0.563 0.196 0.067
Au6 0.762 0.238 0.500
Au7 0.804 0.437 0.933
Au8 0.851 0.851 0.226
```

---

Starting from a GGA-PBE-relaxed structure, the powder diffractogram of Rb5Te4 was computed for a wavelength of 1.5418 Å.
No peak broadening, texture or thermal motion is included.

The 8 most intense peaks (2θ from 10° to 90°), low angle first:
Position (°2θ)  d/Å  Rel. int.
24.8  3.589  100
26.0  3.425  38
27.4  3.250  51
28.0  3.188  36
29.6  3.018  75
31.0  2.888  30
31.1  2.878  60
32.6  2.746  66

Crystal structure
```
data_Rb5Te4
_chemical_formula_sum 'Rb5 Te4'
_cell_length_a 7.136
_cell_length_b 7.136
_cell_length_c 12.097
_cell_angle_alpha 105.90
_cell_angle_beta 105.90
_cell_angle_gamma 45.26
_space_group_name_H-M_alt 'P 1'
_space_group_IT_number 1
_space_group_name_Hall 'P 1'
loop_
_atom_site_label
_atom_site_fract_x
_atom_site_fract_y
_atom_site_fract_z
Rb1 0.000 0.000 0.000
Rb2 0.073 0.073 0.389
Rb3 0.261 0.261 0.831
Rb4 0.739 0.739 0.169
Rb5 0.927 0.927 0.611
Te1 0.345 0.345 0.358
Te2 0.436 0.436 0.155
Te3 0.564 0.564 0.845
Te4 0.655 0.655 0.642
```

---

Starting from a GGA-PBE-relaxed structure, the powder diffractogram of CrPd2Pt2 was computed for a wavelength of 1.5418 Å.
No peak broadening, texture or thermal motion is included.

The 8 most intense peaks (2θ from 10° to 90°), low angle first:
Position (°2θ)  d/Å  Rel. int.
29.9  2.986  53
36.0  2.492  80
42.3  2.137  100
43.4  2.087  27
56.7  1.622  22
60.4  1.533  15
73.3  1.292  20
77.3  1.234  17

Crystal structure
```
data_CrPd2Pt2
_chemical_formula_sum 'Cr2 Pd4 Pt4'
_cell_length_a 4.275
_cell_length_b 4.275
_cell_length_c 10.108
_cell_angle_alpha 90.00
_cell_angle_beta 90.00
_cell_angle_gamma 120.00
_space_group_name_H-M_alt 'P 1'
_space_group_IT_number 1
_space_group_name_Hall 'P 1'
loop_
_atom_site_label
_atom_site_fract_x
_atom_site_fract_y
_atom_site_fract_z
Cr1 0.000 0.000 0.250
Cr2 0.000 0.000 0.750
Pd1 0.333 0.667 0.110
Pd2 0.333 0.667 0.390
Pd3 0.667 0.333 0.610
Pd4 0.667 0.333 0.890
Pt1 0.000 0.000 0.000
Pt2 0.000 0.000 0.500
Pt3 0.333 0.667 0.750
Pt4 0.667 0.333 0.250
```

---

Starting from a GGA-PBE-relaxed structure, the powder diffractogram of HoSc12Al3 was computed for a wavelength of 1.5418 Å.
No peak broadening, texture or thermal motion is included.

The 8 most intense peaks (2θ from 10° to 90°), low angle first:
Position (°2θ)  d/Å  Rel. int.
20.5  4.333  12
22.2  4.006  9
34.6  2.593  100
39.6  2.278  15
40.4  2.230  33
57.9  1.594  18
58.5  1.577  12
69.8  1.348  24

Crystal structure
```
data_HoSc12Al3
_chemical_formula_sum 'Ho1 Sc12 Al3'
_cell_length_a 4.461
_cell_length_b 4.461
_cell_length_c 18.227
_cell_angle_alpha 90.00
_cell_angle_beta 90.00
_cell_angle_gamma 90.00
_space_group_name_H-M_alt 'P 1'
_space_group_IT_number 1
_space_group_name_Hall 'P 1'
loop_
_atom_site_label
_atom_site_fract_x
_atom_site_fract_y
_atom_site_fract_z
Ho1 0.000 0.000 0.000
Sc1 0.000 0.500 0.137
Sc2 0.000 0.500 0.379
Sc3 0.000 0.500 0.621
Sc4 0.000 0.500 0.863
Sc5 0.500 0.000 0.137
Sc6 0.500 0.000 0.379
Sc7 0.500 0.000 0.621
Sc8 0.500 0.000 0.863
Sc9 0.500 0.500 0.000
Sc10 0.500 0.500 0.260
Sc11 0.500 0.500 0.500
Sc12 0.500 0.500 0.740
Al1 0.000 0.000 0.259
Al2 0.000 0.000 0.500
Al3 0.000 0.000 0.741
```

---

Starting from a GGA-PBE-relaxed structure, the powder diffractogram of La6Tl5Pb was computed for a wavelength of 1.5418 Å.
No peak broadening, texture or thermal motion is included.

The 8 most intense peaks (2θ from 10° to 90°), low angle first:
Position (°2θ)  d/Å  Rel. int.
31.7  2.827  20
31.8  2.818  100
45.5  1.995  15
45.6  1.990  7
56.4  1.630  16
56.6  1.626  31
66.4  1.409  12
75.4  1.261  10

Crystal structure
```
data_La6Tl5Pb
_chemical_formula_sum 'La6 Tl5 Pb1'
_cell_length_a 8.936
_cell_length_b 8.936
_cell_length_c 7.959
_cell_angle_alpha 90.00
_cell_angle_beta 90.00
_cell_angle_gamma 143.25
_space_group_name_H-M_alt 'P 1'
_space_group_IT_number 1
_space_group_name_Hall 'P 1'
loop_
_atom_site_label
_atom_site_fract_x
_atom_site_fract_y
_atom_site_fract_z
La1 0.000 0.000 0.248
La2 0.000 0.000 0.752
La3 0.334 0.666 0.252
La4 0.334 0.666 0.748
La5 0.666 0.334 0.252
La6 0.666 0.334 0.748
Tl1 0.166 0.834 0.500
Tl2 0.171 0.829 0.000
Tl3 0.500 0.500 0.500
Tl4 0.829 0.171 0.000
Tl5 0.834 0.166 0.500
Pb1 0.500 0.500 0.000
```

---

Starting from a GGA-PBE-relaxed structure, the powder diffractogram of Sr3Tl2Cd was computed for a wavelength of 1.5418 Å.
No peak broadening, texture or thermal motion is included.

The 8 most intense peaks (2θ from 10° to 90°), low angle first:
Position (°2θ)  d/Å  Rel. int.
21.8  4.071  12
30.9  2.897  100
31.1  2.878  49
44.5  2.035  18
54.8  1.677  20
55.1  1.665  39
64.3  1.449  12
73.5  1.288  12

Crystal structure
```
data_Sr3Tl2Cd
_chemical_formula_sum 'Sr3 Tl2 Cd1'
_cell_length_a 9.104
_cell_length_b 9.104
_cell_length_c 4.125
_cell_angle_alpha 90.00
_cell_angle_beta 90.00
_cell_angle_gamma 143.15
_space_group_name_H-M_alt 'P 1'
_space_group_IT_number 1
_space_group_name_Hall 'P 1'
loop_
_atom_site_label
_atom_site_fract_x
_atom_site_fract_y
_atom_site_fract_z
Sr1 0.000 0.000 0.000
Sr2 0.334 0.666 0.000
Sr3 0.666 0.334 0.000
Tl1 0.167 0.833 0.500
Tl2 0.833 0.167 0.500
Cd1 0.500 0.500 0.500
```

---

Starting from a GGA-PBE-relaxed structure, the powder diffractogram of Li5Mg was computed for a wavelength of 1.5418 Å.
No peak broadening, texture or thermal motion is included.

The 8 most intense peaks (2θ from 10° to 90°), low angle first:
Position (°2θ)  d/Å  Rel. int.
14.0  6.322  43
20.9  4.249  51
25.3  3.522  21
29.7  3.003  28
36.0  2.493  100
39.9  2.258  19
42.6  2.121  15
42.9  2.107  15

Crystal structure
```
data_Li5Mg
_chemical_formula_sum 'Li5 Mg1'
_cell_length_a 6.713
_cell_length_b 6.713
_cell_length_c 4.242
_cell_angle_alpha 90.00
_cell_angle_beta 90.00
_cell_angle_gamma 140.69
_space_group_name_H-M_alt 'P 1'
_space_group_IT_number 1
_space_group_name_Hall 'P 1'
loop_
_atom_site_label
_atom_site_fract_x
_atom_site_fract_y
_atom_site_fract_z
Li1 0.000 0.000 0.000
Li2 0.168 0.832 0.500
Li3 0.333 0.667 0.000
Li4 0.667 0.333 0.000
Li5 0.832 0.168 0.500
Mg1 0.500 0.500 0.500
```

---

Starting from a GGA-PBE-relaxed structure, the powder diffractogram of HgCI2 was computed for a wavelength of 1.5418 Å.
No peak broadening, texture or thermal motion is included.

The 8 most intense peaks (2θ from 10° to 90°), low angle first:
Position (°2θ)  d/Å  Rel. int.
12.8  6.898  100
18.9  4.686  53
19.8  4.477  40
28.3  3.150  78
29.3  3.046  47
30.9  2.891  35
31.0  2.882  34
32.7  2.741  47

Crystal structure
```
data_HgCI2
_chemical_formula_sum 'Hg2 C2 I4'
_cell_length_a 6.074
_cell_length_b 6.902
_cell_length_c 7.372
_cell_angle_alpha 89.73
_cell_angle_beta 89.98
_cell_angle_gamma 87.92
_space_group_name_H-M_alt 'P 1'
_space_group_IT_number 1
_space_group_name_Hall 'P 1'
loop_
_atom_site_label
_atom_site_fract_x
_atom_site_fract_y
_atom_site_fract_z
Hg1 0.000 0.000 0.000
Hg2 0.000 0.000 0.500
C1 0.169 0.053 0.250
C2 0.831 0.947 0.750
I1 0.264 0.357 0.248
I2 0.465 0.857 0.251
I3 0.535 0.143 0.749
I4 0.736 0.643 0.752
```